# 1
Diffraction record for Ba2Zn2ClF7. The powder X-ray diffraction pattern is calculated, not measured: it uses a PBE-relaxed structure and Cu Kα (weighted mean of Kα1 and Kα2).

Top 6 peaks for 10 to 90 degrees two-theta, in order of rising 2θ:
Position (°2θ)	I/Imax
24.54	28
26.17	100
29.09	57
31.05	27
40.90	26
41.85	33

Structural model:
```
24
Lattice="7.5818 0.0000 0.0000 0.0000 5.7602 0.0000 -2.5574 0.0000 8.4466" Properties=species:S:1:pos:R:3 pbc="T T T"
Ba 0.2525 1.4401 3.4874
Ba -0.8186 1.4401 7.8369
Ba 5.8430 4.3202 0.6096
Ba 4.7719 4.3202 4.9592
Zn 1.9257 4.3202 1.4844
Zn 0.5810 4.3202 6.1658
Zn 4.4434 1.4401 2.2807
Zn 3.0987 1.4401 6.9622
Cl 1.7020 4.3202 3.9696
Cl 3.3225 1.4401 4.4770
F 0.5246 2.9037 1.3465
F 0.5246 5.7366 1.3465
F -0.6534 0.0174 5.5103
F -0.6534 2.8627 5.5103
F -0.5642 4.3202 7.8703
F 3.3223 0.0085 1.4248
F 3.3223 2.8716 1.4248
F 1.7021 2.8886 7.0218
F 1.7021 5.7518 7.0218
F 5.5886 1.4401 0.5762
F 5.6779 2.8975 2.9363
F 5.6779 5.7428 2.9363
F 4.4998 0.0236 7.1001
F 4.4998 2.8565 7.1001
```

# 2
Diffraction record for Ba4ZnGa4S10Cl2. The powder X-ray diffraction pattern is calculated, not measured: it uses a PBE-relaxed structure and Cu Kα (weighted mean of Kα1 and Kα2).

Top 6 peaks for 10 to 90 degrees two-theta, in order of rising 2θ:
Position (°2θ)	I/Imax
18.98	18
24.53	50
29.64	100
31.71	28
39.34	19
49.69	23

Structural model:
```
21
Lattice="-4.1762 4.1762 7.6539 4.1762 -4.1762 7.6539 4.1762 4.1762 -7.6539" Properties=species:S:1:pos:R:3 pbc="T T T"
Ba 6.0975 1.2539 -1.6787
Ba 1.2539 2.2550 1.6787
Ba -1.9213 2.9224 5.9752
Ba 2.9224 1.9213 9.3326
Zn 0.0000 0.0000 7.6539
Ga 1.6064 3.3020 -2.5279
Ga 5.0505 1.6064 2.5279
Ga 2.5699 0.8743 5.1260
Ga -0.8743 2.5699 10.1818
S 4.1762 0.0000 1.1458
S 1.5751 -0.6604 3.7076
S 3.0969 2.3635 -1.0978
S 2.6012 4.8367 -3.9463
S 4.1762 0.0000 6.5081
S 1.8128 -1.0793 8.7517
S 3.5158 2.6012 3.9463
S 1.0793 1.8128 6.5561
S 2.3635 5.2556 1.0978
S 0.6604 1.5751 11.6002
Cl 0.0000 0.0000 0.0000
Cl 0.0000 4.1762 3.8270
```

# 3
Diffraction record for BaHg2Cl2O2. The powder X-ray diffraction pattern is calculated, not measured: it uses a PBE-relaxed structure and Cu Kα (weighted mean of Kα1 and Kα2).

Top 6 peaks for 10 to 90 degrees two-theta, in order of rising 2θ:
Position (°2θ)	I/Imax
10.38	31
23.21	42
26.67	46
31.40	100
37.24	50
45.73	43

Structural model:
```
28
Lattice="12.0516 0.0000 0.0000 0.0000 12.0516 0.0000 0.0000 0.0000 4.2906" Properties=species:S:1:pos:R:3 pbc="T T T"
Ba 1.6296 4.3961 0.0000
Ba 4.3961 10.4219 0.0000
Ba 7.6554 1.6296 0.0000
Ba 10.4219 7.6554 0.0000
Hg 0.9529 9.9639 2.1453
Hg 2.0876 0.9529 2.1453
Hg 3.9381 6.9787 2.1453
Hg 5.0729 3.9381 2.1453
Hg 6.9787 8.1134 2.1453
Hg 8.1134 5.0729 2.1453
Hg 9.9639 11.0987 2.1453
Hg 11.0987 2.0876 2.1453
Cl 0.0000 0.0000 0.0000
Cl 0.0000 6.0258 2.1453
Cl 2.0694 8.0952 0.0000
Cl 3.9563 2.0694 0.0000
Cl 6.0258 0.0000 2.1453
Cl 6.0258 6.0258 0.0000
Cl 8.0952 9.9821 0.0000
Cl 9.9821 3.9563 0.0000
O 1.0281 2.7708 2.1453
O 2.7708 11.0235 2.1453
O 3.2550 4.9977 2.1453
O 4.9977 8.7966 2.1453
O 7.0539 3.2550 2.1453
O 8.7966 7.0539 2.1453
O 9.2808 1.0281 2.1453
O 11.0235 9.2808 2.1453
```

# 4
Diffraction record for Ba3TaN3Cl2. The powder X-ray diffraction pattern is calculated, not measured: it uses a PBE-relaxed structure and Cu Kα (weighted mean of Kα1 and Kα2).

Top 6 peaks for 10 to 90 degrees two-theta, in order of rising 2θ:
Position (°2θ)	I/Imax
27.37	20
27.81	35
28.22	100
31.29	21
44.37	14
49.45	19

Structural model:
```
54
Lattice="15.1277 0.0000 0.0000 -7.5638 13.1010 0.0000 0.0000 0.0000 6.4162" Properties=species:S:1:pos:R:3 pbc="T T T"
Ba -1.5005 2.5990 0.0000
Ba -6.0633 10.5019 3.2081
Ba -1.1488 6.1538 3.6391
Ba -2.8089 9.0292 0.4310
Ba 3.0011 0.0000 0.0000
Ba 1.5005 2.5990 3.2081
Ba 1.1488 6.1538 0.4310
Ba -1.6601 11.0189 3.6391
Ba 5.9037 2.0820 3.6391
Ba 4.7550 4.0718 0.4310
Ba 2.8089 9.0292 3.6391
Ba 1.6601 11.0189 0.4310
Ba 9.2240 2.0820 0.4310
Ba 6.4151 6.9472 3.6391
Ba 12.1266 0.0000 3.2081
Ba 6.0633 10.5019 0.0000
Ba 10.3727 4.0718 3.6391
Ba 8.7126 6.9472 0.4310
Ta -3.1957 5.5352 0.2123
Ta -4.3681 7.5658 3.4204
Ta 6.3915 0.0000 0.2123
Ta 3.1957 5.5352 3.4204
Ta 8.7362 0.0000 3.4204
Ta 4.3681 7.5658 0.2123
N -3.6790 6.3722 1.9913
N -3.8848 6.7287 5.1994
N -1.3111 5.2839 6.3551
N -3.6434 9.3235 3.1469
N 1.3111 5.2839 3.1469
N -2.3323 11.5945 6.3551
N 5.2316 1.5065 6.3551
N 3.9205 3.7774 3.1469
N 7.3580 0.0000 1.9913
N 3.6790 6.3722 5.1994
N 7.7697 0.0000 5.1994
N 3.8848 6.7287 1.9913
N 3.6434 9.3235 6.3551
N 2.3323 11.5945 3.1469
N 9.8961 1.5065 3.1469
N 6.2527 7.8170 6.3551
N 11.2072 3.7774 6.3551
N 8.8750 7.8170 3.1469
Cl 0.0000 0.0000 1.6217
Cl 0.0000 0.0000 4.8298
Cl -1.7314 2.9989 3.2307
Cl -5.8324 10.1021 0.0225
Cl 3.4628 0.0000 3.2307
Cl 1.7314 2.9989 0.0225
Cl 0.0000 8.7340 1.9694
Cl 0.0000 8.7340 5.1775
Cl 7.5639 4.3670 1.9694
Cl 7.5639 4.3670 5.1775
Cl 11.6649 0.0000 0.0225
Cl 5.8324 10.1021 3.2307
```

# 5
Diffraction record for Ba2Pd3Cl2O4. The powder X-ray diffraction pattern is calculated, not measured: it uses a PBE-relaxed structure and Cu Kα (weighted mean of Kα1 and Kα2).

Top 6 peaks for 10 to 90 degrees two-theta, in order of rising 2θ:
Position (°2θ)	I/Imax
12.88	61
24.80	100
30.96	81
34.09	59
40.06	56
44.35	43

Structural model:
```
11
Lattice="-2.8886 2.8886 6.8731 2.8886 -2.8886 6.8731 2.8886 2.8886 -6.8731" Properties=species:S:1:pos:R:3 pbc="T T T"
Ba 0.0000 0.0000 2.0034
Ba 0.0000 0.0000 11.7428
Pd 2.8886 0.0000 0.0000
Pd 0.0000 2.8886 0.0000
Pd 0.0000 0.0000 6.8731
Cl 2.8886 0.0000 3.4365
Cl 0.0000 2.8886 3.4365
O 1.4389 1.4389 0.0000
O 1.4497 -1.4497 6.8731
O -1.4497 1.4497 6.8731
O 1.4497 1.4497 6.8731
```

# 6
Diffraction record for Ba5Re3ClO15. The powder X-ray diffraction pattern is calculated, not measured: it uses a PBE-relaxed structure and Cu Kα (weighted mean of Kα1 and Kα2).

Top 6 peaks for 10 to 90 degrees two-theta, in order of rising 2θ:
Position (°2θ)	I/Imax
22.91	28
27.48	100
28.21	90
28.33	77
36.17	29
40.41	26

Structural model:
```
48
Lattice="10.9138 0.0000 0.0000 -5.4569 9.4516 0.0000 0.0000 0.0000 7.7650" Properties=species:S:1:pos:R:3 pbc="T T T"
Ba -1.4130 2.4474 0.0000
Ba -4.0439 7.0042 3.8825
Ba 2.8260 0.0000 0.0000
Ba 1.4130 2.4474 3.8825
Ba 0.0000 6.3011 2.0239
Ba 0.0000 6.3011 5.9065
Ba 5.4569 3.1505 2.0239
Ba 5.4569 3.1505 5.9065
Ba 8.0878 0.0000 3.8825
Ba 4.0439 7.0042 0.0000
Re -2.1333 3.6951 4.2969
Re -3.3236 5.7566 0.4144
Re 4.2667 0.0000 4.2969
Re 2.1333 3.6951 0.4144
Re 6.6471 0.0000 0.4144
Re 3.3236 5.7566 4.2969
Cl 0.0000 0.0000 1.7137
Cl 0.0000 0.0000 5.5962
O -1.6002 2.7716 2.8891
O -3.8567 6.6801 6.7717
O -1.5710 5.2159 0.1054
O -1.7253 5.4831 3.9880
O -0.6595 3.6709 5.4074
O -2.6075 7.0450 1.5249
O 0.6595 3.6709 1.5249
O -1.9480 8.1873 5.4074
O 3.2003 0.0000 2.8891
O 1.6002 2.7716 6.7717
O 3.5089 1.2643 5.4074
O 2.8494 2.4066 1.5249
O 1.5710 5.2159 3.9880
O -0.1543 8.2042 0.1054
O 1.7253 5.4831 0.1054
O 0.1543 8.2042 3.9880
O 5.3026 1.2474 0.1054
O 3.7316 3.9685 3.9880
O 5.6112 1.2474 3.9880
O 3.8859 4.2357 0.1054
O 2.6075 7.0450 5.4074
O 1.9480 8.1873 1.5249
O 7.7135 0.0000 6.7717
O 3.8567 6.6801 2.8891
O 7.4050 1.2643 1.5249
O 4.7974 5.7807 5.4074
O 8.0644 2.4066 5.4074
O 6.1164 5.7807 1.5249
O 7.1822 3.9685 0.1054
O 7.0279 4.2357 3.9880
```

# 7
Diffraction record for Ba2ZnSe2Cl2O6. The powder X-ray diffraction pattern is calculated, not measured: it uses a PBE-relaxed structure and Cu Kα (weighted mean of Kα1 and Kα2).

Top 6 peaks for 10 to 90 degrees two-theta, in order of rising 2θ:
Position (°2θ)	I/Imax
26.29	15
29.94	100
31.94	15
33.09	25
43.38	15
57.17	14

Structural model:
```
26
Lattice="6.7802 0.0000 0.0000 0.0000 12.6295 0.0000 0.0000 0.0000 5.4139" Properties=species:S:1:pos:R:3 pbc="T T T"
Ba 1.3484 2.9176 0.0000
Ba 2.0417 9.2323 2.7069
Ba 4.7385 3.3972 2.7069
Ba 5.4318 9.7119 0.0000
Zn 0.0000 0.0000 2.7069
Zn 3.3901 6.3148 0.0000
Se 1.6522 5.4031 2.7069
Se 1.7379 11.7179 0.0000
Se 5.0423 0.9116 0.0000
Se 5.1280 7.2264 2.7069
Cl 1.1844 7.6087 0.0000
Cl 2.2057 1.2940 2.7069
Cl 4.5745 11.3355 2.7069
Cl 5.5958 5.0208 0.0000
O 0.5588 4.1052 2.7069
O 0.6855 11.2396 1.3070
O 0.6855 11.2396 4.1069
O 2.7046 4.9248 1.4000
O 2.7046 4.9248 4.0139
O 2.8314 10.4200 0.0000
O 3.9489 2.2095 0.0000
O 4.0756 7.7047 1.4000
O 4.0756 7.7047 4.0139
O 6.0947 1.3899 1.3070
O 6.0947 1.3899 4.1069
O 6.2215 8.5243 2.7069
```